Starting from the GGA-PBE geometry in Alexandria, the powder diffractogram of DyMg2ZnCu2 was computed for CuKα.
Kinematic intensities with the Lorentz-polarization factor, no thermal factor.

Peak list (10 most intense, 10° ≤ 2θ ≤ 90°, low angle first)
25.3°, rel. 100, (1 1 0)
30.7°, rel. 27, (1 1 2)
31.5°, rel. 24, (1 0 3)
34.7°, rel. 35, (0 0 4)
36.0°, rel. 70, (2 0 0)
43.4°, rel. 40, (1 1 4)
50.9°, rel. 45, (2 0 4)
51.8°, rel. 24, (2 2 0)
58.5°, rel. 19, (3 1 0)
63.9°, rel. 22, (2 2 4)

Cell and atoms:
```
data_DyMg2ZnCu2
_space_group_name_H-M_alt 'I 4/m m m'
_space_group_IT_number 139
_space_group_name_Hall '-I 4 2'
_cell_length_a 4.9875
_cell_length_b 4.9875
_cell_length_c 10.3443
_cell_angle_alpha 90.00
_cell_angle_beta 90.00
_cell_angle_gamma 90.00
loop_
_atom_site_label
_atom_site_type_symbol
_atom_site_fract_x
_atom_site_fract_y
_atom_site_fract_z
Dy1 Dy 0.0000 0.0000 0.0000
Mg1 Mg 0.0000 0.5000 0.2500
Zn1 Zn 0.0000 0.0000 0.5000
Cu1 Cu 0.0000 0.0000 0.2732
```

Starting from the GGA-PBE geometry in Alexandria, the powder diffractogram of Dy2Mn3Cu9P7 was computed for CuKα.
Kinematic intensities with the Lorentz-polarization factor, no thermal factor.

Peak list (10 most intense, 10° ≤ 2θ ≤ 90°, low angle first)
26.1°, rel. 11, (1 0 1)
32.7°, rel. 11, (3 0 0)
37.5°, rel. 100, (2 1 1)
37.9°, rel. 11, (2 2 0)
39.5°, rel. 10, (3 1 0)
46.6°, rel. 15, (3 1 1)
48.4°, rel. 18, (0 0 2)
50.9°, rel. 18, (1 4 0)
72.9°, rel. 12, (1 4 2)
83.1°, rel. 11, (2 1 3)

Cell and atoms:
```
data_Dy2Mn3Cu9P7
_space_group_name_H-M_alt 'P -6'
_space_group_IT_number 174
_space_group_name_Hall 'P -6'
_cell_length_a 9.4976
_cell_length_b 9.4976
_cell_length_c 3.7587
_cell_angle_alpha 90.00
_cell_angle_beta 90.00
_cell_angle_gamma 120.00
loop_
_atom_site_label
_atom_site_type_symbol
_atom_site_fract_x
_atom_site_fract_y
_atom_site_fract_z
Dy1 Dy 0.0000 0.0000 0.0000
Dy2 Dy 0.3333 0.6667 0.5000
Mn1 Mn 0.4494 0.1996 0.0000
Cu1 Cu 0.0512 0.2870 0.5000
Cu2 Cu 0.0930 0.7201 0.0000
Cu3 Cu 0.5013 0.4470 0.5000
P1 P 0.0829 0.4582 0.0000
P2 P 0.2534 0.2022 0.5000
P3 P 0.6667 0.3333 0.5000
```

Starting from the GGA-PBE geometry in Alexandria, the powder diffractogram of DyMnCu4P3 was computed for CuKα.
Kinematic intensities with the Lorentz-polarization factor, no thermal factor.

Peak list (10 most intense, 10° ≤ 2θ ≤ 90°, low angle first)
26.0°, rel. 11, (1 1 1)
28.5°, rel. 9, (2 0 3)
33.8°, rel. 9, (1 0 4)
36.1°, rel. 11, (2 0 4)
37.3°, rel. 100, (4 1 0)
46.6°, rel. 11, (3 1 4)
48.2°, rel. 20, (0 2 0)
50.5°, rel. 22, (6 0 3)
72.3°, rel. 14, (6 2 3)
82.6°, rel. 9, (4 3 0)

Cell and atoms:
```
data_DyMnCu4P3
_space_group_name_H-M_alt 'P n m a'
_space_group_IT_number 62
_space_group_name_Hall '-P 2ac 2n'
_cell_length_a 12.5455
_cell_length_b 3.7780
_cell_length_c 10.8383
_cell_angle_alpha 90.00
_cell_angle_beta 90.00
_cell_angle_gamma 90.00
loop_
_atom_site_label
_atom_site_type_symbol
_atom_site_fract_x
_atom_site_fract_y
_atom_site_fract_z
Dy1 Dy 0.2080 0.2500 0.0846
Mn1 Mn 0.0242 0.7500 0.7144
Cu1 Cu 0.0043 0.7500 0.0875
Cu2 Cu 0.0636 0.7500 0.4622
Cu3 Cu 0.1830 0.2500 0.7877
Cu4 Cu 0.1908 0.2500 0.3752
P1 P 0.1177 0.7500 0.9067
P2 P 0.1208 0.2500 0.5854
P3 P 0.1240 0.7500 0.2579
```